Structure and computed powder diffraction line list of NaSmTe (a DFT-relaxed cell (PBE, Alexandria); Cu Kα, 1.54184 Å).
Intensities are scaled so that the largest is 100.

Main lines, low angle first (15° ≤ 2θ ≤ 90°):
- 2θ = 28.39°, 3.144 Å, rel. 48, (0 0 3)
- 2θ = 28.83°, 3.097 Å, rel. 100, (1 1 0)
- 2θ = 30.38°, 2.942 Å, rel. 75, (1 1 1)
- 2θ = 34.65°, 2.589 Å, rel. 38, (1 1 2)
- 2θ = 35.14°, 2.554 Å, rel. 55, (1 0 3)
- 2θ = 40.90°, 2.206 Å, rel. 46, (1 1 3)
- 2θ = 41.22°, 2.190 Å, rel. 54, (2 0 0)
- 2θ = 50.81°, 1.797 Å, rel. 38, (2 0 3)
- 2θ = 55.25°, 1.662 Å, rel. 30, (2 1 3)
- 2θ = 77.93°, 1.226 Å, rel. 27, (2 1 6)

Unit cell a=4.3799 b=4.3799 c=9.4316 alpha=90.00 beta=90.00 gamma=90.00
Space group P4/nmm (No. 129, origin choice 2)
One atom of each set of equivalent atoms:
Na 0.2500 0.7500 0.0000 [2 per cell]
Sm 0.2500 0.2500 0.3689 [2 per cell]
Te 0.2500 0.2500 0.7017 [2 per cell]